The following is a computed powder XRD pattern of Li2VF6. It was derived from a GGA+U-relaxed structure, using λ = 1.5418 Å (Cu Kα).

Atomic structure:
```
data_Li2VF6
_chemical_formula_sum 'Li8 V4 F24'
_symmetry_space_group_name_H-M 'P 1 21/c 1'
_symmetry_Int_Tables_number 14
_symmetry_space_group_name_Hall '-P 2ybc'
_cell_length_a 7.8069
_cell_length_b 4.8665
_cell_length_c 10.5366
_cell_angle_alpha 90.00
_cell_angle_beta 107.64
_cell_angle_gamma 90.00
loop_
_atom_site_label
_atom_site_type_symbol
_atom_site_fract_x
_atom_site_fract_y
_atom_site_fract_z
Li1 Li 0.0389 0.0452 0.1511
Li2 Li 0.3914 0.0165 0.8085
V1 V 0.2734 0.5249 0.0027
F1 F 0.0942 0.7448 0.0373
F2 F 0.1224 0.6468 0.8269
F3 F 0.2330 0.1906 0.9052
F4 F 0.2458 0.2151 0.6373
F5 F 0.4203 0.7126 0.1579
F6 F 0.4509 0.7021 0.9332
```

Most intense lines, 10 to 80 degrees two-theta, in order of rising 2θ:
| hkl | 2θ (°) | d [Å] | I_rel |
| --- | --- | --- | --- |
| 0 0 2 | 17.67 | 5.021 | 83 |
| 0 1 1 | 20.28 | 4.379 | 100 |
| 2 0 0 | 23.92 | 3.720 | 23 |
| 2 0 -2 | 25.11 | 3.547 | 27 |
| 2 1 -1 | 29.38 | 3.040 | 43 |
| 0 1 3 | 32.47 | 2.758 | 17 |
| 3 1 0 | 40.84 | 2.210 | 41 |
| 2 1 -4 | 41.20 | 2.191 | 15 |
| 1 1 4 | 45.48 | 1.994 | 27 |
| 2 2 -4 | 53.00 | 1.728 | 26 |